Record 1
Simulated powder diffractogram of GaNi2Ge3 for a wavelength of 1.5418 Å, from a DFT-relaxed cell (GGA-PBE, Alexandria).

Main lines, by angle (2θ from 10° to 80°):
(1 3 1), 2θ 33.0, I = 66
(1 1 2), 2θ 35.8, I = 48
(2 0 2), 2θ 44.6, I = 88
(0 4 2), 2θ 45.7, I = 100
(2 4 0), 2θ 45.8, I = 98
(1 5 1), 2θ 47.2, I = 43

Structural model:
Cell: 5.7356 10.9448 5.7650 Å, 90.00 90.00 90.00°
Space group C222_1 (No. 20)
Inequivalent atoms, fractional coordinates:
Ga1 0.2500 0.0000 0.0000
Ni1 0.0000 0.1344 0.2500
Ni2 0.0000 0.3648 0.2500
Ge1 0.1555 0.2530 0.5929
Ge2 0.2484 0.0000 0.5000


Record 2
Simulated powder diffractogram of Ta3Ge for a wavelength of 1.5418 Å, from a DFT-relaxed cell (GGA-PBE, Alexandria).

Main lines, by angle (2θ from 10° to 80°):
(3 2 1), 2θ 35.7, I = 100
(1 1 2), 2θ 36.2, I = 60
(3 3 0), 2θ 37.0, I = 47
(4 2 0), 2θ 39.0, I = 39
(1 4 1), 2θ 39.9, I = 78
(2 2 2), 2θ 42.3, I = 37

Structural model:
Cell: 10.3157 10.3157 5.2754 Å, 90.00 90.00 90.00°
Space group P4_2/n (No. 86, origin choice 2)
Inequivalent atoms, fractional coordinates:
Ta1 0.0374 0.9381 0.2357
Ta2 0.1004 0.2678 0.0296
Ta3 0.1510 0.8352 0.7174
Ge1 0.0464 0.2786 0.5331


Copy entry 1 word for word.
Simulated powder diffractogram of GaNi2Ge3 for a wavelength of 1.5418 Å, from a DFT-relaxed cell (GGA-PBE, Alexandria).

Main lines, by angle (2θ from 10° to 80°):
(1 3 1), 2θ 33.0, I = 66
(1 1 2), 2θ 35.8, I = 48
(2 0 2), 2θ 44.6, I = 88
(0 4 2), 2θ 45.7, I = 100
(2 4 0), 2θ 45.8, I = 98
(1 5 1), 2θ 47.2, I = 43

Structural model:
Cell: 5.7356 10.9448 5.7650 Å, 90.00 90.00 90.00°
Space group C222_1 (No. 20)
Inequivalent atoms, fractional coordinates:
Ga1 0.2500 0.0000 0.0000
Ni1 0.0000 0.1344 0.2500
Ni2 0.0000 0.3648 0.2500
Ge1 0.1555 0.2530 0.5929
Ge2 0.2484 0.0000 0.5000


Please write out number 1 again, unchanged.
Simulated powder diffractogram of GaNi2Ge3 for a wavelength of 1.5418 Å, from a DFT-relaxed cell (GGA-PBE, Alexandria).

Main lines, by angle (2θ from 10° to 80°):
(1 3 1), 2θ 33.0, I = 66
(1 1 2), 2θ 35.8, I = 48
(2 0 2), 2θ 44.6, I = 88
(0 4 2), 2θ 45.7, I = 100
(2 4 0), 2θ 45.8, I = 98
(1 5 1), 2θ 47.2, I = 43

Structural model:
Cell: 5.7356 10.9448 5.7650 Å, 90.00 90.00 90.00°
Space group C222_1 (No. 20)
Inequivalent atoms, fractional coordinates:
Ga1 0.2500 0.0000 0.0000
Ni1 0.0000 0.1344 0.2500
Ni2 0.0000 0.3648 0.2500
Ge1 0.1555 0.2530 0.5929
Ge2 0.2484 0.0000 0.5000


- Number 2 is which compound?
  Ta3Ge